Structure and computed powder diffractogram of Sm2Mn2O7 (a GGA+U-relaxed structure; copper Kα).
Peak positions follow from Bragg's law for the DFT cell and can differ from measured ones.

Peak list (10 most intense, 15 to 90 degrees two-theta, by angle)
- d 5.883, intensity 20
- d 3.072, intensity 11
- d 2.941, intensity 100
- d 2.547, intensity 30
- d 2.338, intensity 17
- d 1.801, intensity 47
- d 1.536, intensity 41
- d 1.471, intensity 10
- d 1.169, intensity 16
- d 1.139, intensity 14

Structural model:
a b c (Å): 7.2050 7.2050 7.2050
angles (deg): 60.00 60.00 60.00
Sites, in units of the cell vectors:
Sm (0.0000, 0.0000, 0.0000)
Sm (0.0000, 0.0000, 0.5000)
Sm (0.0000, 0.5000, 0.0000)
Sm (0.5000, 0.0000, 0.0000)
Mn (0.0000, 0.5000, 0.5000)
Mn (0.5000, 0.0000, 0.5000)
Mn (0.5000, 0.5000, 0.0000)
Mn (0.5000, 0.5000, 0.5000)
O (0.1250, 0.1250, 0.1250)
O (0.1730, 0.1730, 0.5770)
O (0.1730, 0.5770, 0.1730)
O (0.1730, 0.5770, 0.5770)
O (0.4230, 0.4230, 0.8270)
O (0.4230, 0.8270, 0.4230)
O (0.4230, 0.8270, 0.8270)
O (0.5770, 0.1730, 0.1730)
O (0.5770, 0.1730, 0.5770)
O (0.5770, 0.5770, 0.1730)
O (0.8270, 0.4230, 0.4230)
O (0.8270, 0.4230, 0.8270)
O (0.8270, 0.8270, 0.4230)
O (0.8750, 0.8750, 0.8750)


Structure and computed powder diffractogram of SrSmMn2O6 (a GGA+U-relaxed structure; copper Kα).
Peak positions follow from Bragg's law for the DFT cell and can differ from measured ones.

Peak list (10 most intense, 15 to 90 degrees two-theta, by angle)
- d 4.502, intensity 14
- d 2.770, intensity 48
- d 2.750, intensity 100
- d 2.251, intensity 22
- d 1.959, intensity 30
- d 1.931, intensity 15
- d 1.595, intensity 38
- d 1.584, intensity 20
- d 1.375, intensity 16
- d 1.223, intensity 10

Structural model:
a b c (Å): 7.7254 5.5404 5.5395
angles (deg): 90.00 90.00 90.00
Sites, in units of the cell vectors:
Sr (0.0000, 0.2338, 0.0000)
Sr (0.5000, 0.7662, 0.5000)
Sm (0.0000, 0.7134, 0.4844)
Sm (0.5000, 0.2866, 0.9844)
Mn (0.2494, 0.7545, 0.9977)
Mn (0.2506, 0.2455, 0.4977)
Mn (0.7494, 0.2455, 0.4977)
Mn (0.7506, 0.7545, 0.9977)
O (0.0000, 0.2702, 0.5550)
O (0.0000, 0.7561, 0.9116)
O (0.2081, 0.9671, 0.2819)
O (0.2140, 0.4881, 0.2366)
O (0.2860, 0.5119, 0.7366)
O (0.2919, 0.0329, 0.7819)
O (0.5000, 0.2439, 0.4116)
O (0.5000, 0.7298, 0.0550)
O (0.7081, 0.0329, 0.7819)
O (0.7140, 0.5119, 0.7366)
O (0.7860, 0.4881, 0.2366)
O (0.7919, 0.9671, 0.2819)